[1]
Structure and theoretical powder diffraction line list of NdEr2Al7Cu2 (a PBE-relaxed structure; CuKα).
Neutral-atom scattering factors, no anomalous dispersion.

Structural model:
```
data_NdEr2Al7Cu2
_symmetry_space_group_name_H-M 'R -3 m'
_symmetry_Int_Tables_number 166
_symmetry_space_group_name_Hall '-R 3 2"'
_cell_length_a 5.5014
_cell_length_b 5.5014
_cell_length_c 25.5330
_cell_angle_alpha 90.00
_cell_angle_beta 90.00
_cell_angle_gamma 120.00
loop_
_atom_site_label
_atom_site_fract_x
_atom_site_fract_y
_atom_site_fract_z
Nd1 0.0000 0.0000 0.0000
Er1 0.0000 0.0000 0.1421
Al1 0.0000 0.0000 0.5000
Al2 0.0062 0.5031 0.9204
Cu1 0.0000 0.0000 0.3351
```

Peak list (8 most intense, 2θ = 10–80°, sorted by position)
2θ/deg	intensity
18.95	41
20.87	31
30.87	52
32.55	89
33.80	32
37.93	27
38.99	100
64.35	27

---

[2]
Structure and theoretical powder diffraction line list of Nd2ErAl7Cu2 (a PBE-relaxed structure; CuKα).
Neutral-atom scattering factors, no anomalous dispersion.

Structural model:
```
data_Nd2ErAl7Cu2
_symmetry_space_group_name_H-M 'R -3 m'
_symmetry_Int_Tables_number 166
_symmetry_space_group_name_Hall '-R 3 2"'
_cell_length_a 5.5501
_cell_length_b 5.5501
_cell_length_c 25.7044
_cell_angle_alpha 90.00
_cell_angle_beta 90.00
_cell_angle_gamma 120.00
loop_
_atom_site_label
_atom_site_fract_x
_atom_site_fract_y
_atom_site_fract_z
Nd1 0.0000 0.0000 0.1415
Er1 0.0000 0.0000 0.0000
Al1 0.0000 0.0000 0.5000
Al2 0.0054 0.5027 0.9231
Cu1 0.0000 0.0000 0.3353
```

Peak list (8 most intense, 2θ = 10–80°, sorted by position)
2θ/deg	intensity
18.78	40
20.73	30
30.64	49
32.26	86
33.55	34
37.59	27
38.66	100
63.82	28